Structure and simulated powder X-ray diffraction pattern of Ba2AlTlCr2O7 (a cell relaxed with GGA+U; Cu Kα).
Intensities are scaled so that the largest is 1000.

The 12 most intense peaks (5 to 70 degrees two-theta), by angle:
- (0 0 1), d 13.280, I = 570
- (1 0 2), d 3.316, I = 652
- (1 0 3), d 2.895, I = 1000
- (1 1 0), d 2.706, I = 573
- (0 0 5), d 2.654, I = 515
- (2 0 0), d 1.914, I = 304
- (1 1 5), d 1.895, I = 303
- (1 1 6), d 1.713, I = 136
- (2 1 2), d 1.657, I = 209
- (2 1 3), d 1.596, I = 339
- (2 0 5), d 1.553, I = 225
- (1 0 8), d 1.523, I = 144

Structure:
```
data_Ba2AlTlCr2O7
_space_group_name_H-M_alt 'P 1'
_space_group_IT_number 1
_cell_length_a 3.827
_cell_length_b 3.827
_cell_length_c 13.280
_cell_angle_alpha 90.00
_cell_angle_beta 90.00
_cell_angle_gamma 90.00
loop_
_space_group_symop_operation_xyz
'x,y,z'
loop_
_atom_site_label
_atom_site_type_symbol
_atom_site_fract_x
_atom_site_fract_y
_atom_site_fract_z
Ba1 Ba 0.000 0.000 0.198
Ba2 Ba 0.000 0.000 0.802
Al1 Al 0.000 0.000 0.500
Tl1 Tl 0.500 0.500 0.000
Cr1 Cr 0.500 0.500 0.371
Cr2 Cr 0.500 0.500 0.629
O1 O 0.000 0.000 0.000
O2 O 0.000 0.500 0.406
O3 O 0.000 0.500 0.594
O4 O 0.500 0.000 0.406
O5 O 0.500 0.000 0.594
O6 O 0.500 0.500 0.225
O7 O 0.500 0.500 0.775
```